Theoretical XRD peak list
Compound: BaZrBi3
Radiation: Cu Kα
Structure: a cell relaxed with GGA-PBE
Neutral-atom scattering factors, no anomalous dispersion.

Structural model:
a = 15.3749 Å, b = 6.6391 Å, c = 6.8129 Å
α = 90.00°, β = 90.00°, γ = 90.00°
Space group Pbcm (No. 57)
Asymmetric unit:
Ba1 0.1882 0.0133 0.2500 x4
Zr1 0.4160 0.7500 0.0000 x4
Bi1 0.0044 0.7500 0.0000 x4
Bi2 0.2913 0.5086 0.2500 x4
Bi3 0.4287 0.1256 0.2500 x4

Principal peaks in the range 5° ≤ 2θ ≤ 70°, low angle first:
two_theta	d/Å	I_rel
25.56	3.486	35.0
26.81	3.326	30.6
28.66	3.114	37.4
29.31	3.048	61.6
29.90	2.988	100.0
34.38	2.609	19.6
37.83	2.378	57.1
39.97	2.256	24.3
41.10	2.196	18.6
44.63	2.030	18.6
48.54	1.875	26.7
63.51	1.465	22.8


Theoretical XRD peak list
Compound: Ba3Br5
Radiation: Cu Kα
Structure: a cell relaxed with GGA-PBE
Neutral-atom scattering factors, no anomalous dispersion.

Structural model:
a = 7.8966 Å, b = 17.4655 Å, c = 9.5800 Å
α = 90.00°, β = 114.28°, γ = 90.00°
Space group Cm (No. 8)
Asymmetric unit:
Ba1 0.0000 0.0000 0.0000 x2
Ba2 0.1516 0.2500 0.8054 x4
Ba3 0.1526 0.3472 0.3054 x4
Ba4 0.3054 0.0000 0.6109 x2
Br1 0.0455 0.1867 0.0934 x4
Br2 0.2579 0.1866 0.5175 x4
Br3 0.3382 0.3940 0.6788 x4
Br4 0.4024 0.0000 0.3053 x2
Br5 0.4025 0.5000 0.3055 x2
Br6 0.4648 0.1060 0.9321 x4

Principal peaks in the range 5° ≤ 2θ ≤ 70°, low angle first:
two_theta	d/Å	I_rel
19.61	4.526	31.5
22.52	3.948	35.7
26.80	3.326	82.5
28.40	3.142	66.5
30.53	2.929	50.8
31.96	2.801	100.0
32.42	2.761	58.3
36.96	2.432	45.6
38.42	2.343	23.1
45.93	1.976	59.2
57.72	1.597	26.6
58.77	1.571	30.5


Theoretical XRD peak list
Compound: BaBr
Radiation: Cu Kα
Structure: a cell relaxed with GGA-PBE
Neutral-atom scattering factors, no anomalous dispersion.

Structural model:
a = 5.2262 Å, b = 5.2262 Å, c = 8.6062 Å
α = 90.00°, β = 90.00°, γ = 120.00°
Space group P-3m1 (No. 164)
Asymmetric unit:
Ba1 0.3333 0.6667 0.2202 x2
Br1 0.3333 0.6667 0.6346 x2

Principal peaks in the range 5° ≤ 2θ ≤ 70°, low angle first:
two_theta	d/Å	I_rel
19.61	4.526	85.4
20.64	4.303	38.4
22.19	4.006	39.8
28.62	3.119	100.0
34.32	2.613	82.7
37.10	2.423	54.7
40.38	2.234	40.2
45.28	2.003	27.8
51.43	1.777	21.1
57.26	1.609	18.0
58.02	1.590	26.4
63.30	1.469	22.6